1.
Simulated powder diffractogram
Compound: LiTi2O4
Radiation: CuKα
Structure: DFT lattice parameters and positions (PBE)

```
LiTi2O4
1.0
5.144 0.000 0.000
0.000 5.995 0.000
-0.064 0.000 5.301
Li Ti O
2 4 8
Direct
0.177 0.250 0.063
0.823 0.750 0.937
0.000 0.000 0.500
0.000 0.500 0.500
0.475 0.750 0.485
0.525 0.250 0.515
0.157 0.750 0.704
0.166 0.250 0.698
0.333 0.011 0.302
0.333 0.489 0.302
0.667 0.511 0.698
0.667 0.989 0.698
0.834 0.750 0.302
0.843 0.250 0.296
```

Most intense lines, 10° ≤ 2θ ≤ 90°, in order of rising 2θ:
2θ 16.72, intensity 100; 2θ 34.63, intensity 8; 2θ 34.88, intensity 4; 2θ 38.77, intensity 48; 2θ 49.05, intensity 15; 2θ 49.34, intensity 18; 2θ 61.91, intensity 5; 2θ 62.39, intensity 8; 2θ 63.55, intensity 9; 2θ 64.32, intensity 3; 2θ 64.62, intensity 4; 2θ 75.46, intensity 3

2.
Simulated powder diffractogram
Compound: Na2YCuCl6
Radiation: CuKα
Structure: DFT lattice parameters and positions (PBE)

```
Na2YCuCl6
1.0
0.000 5.124 5.124
5.124 0.000 5.124
5.124 5.124 0.000
Na Y Cu Cl
2 1 1 6
Direct
0.250 0.250 0.250
0.750 0.750 0.750
0.000 0.000 0.000
0.500 0.500 0.500
0.256 0.256 0.744
0.256 0.744 0.256
0.256 0.744 0.744
0.744 0.256 0.256
0.744 0.256 0.744
0.744 0.744 0.256
```

Most intense lines, 10° ≤ 2θ ≤ 90°, in order of rising 2θ:
2θ 17.31, intensity 100; 2θ 24.57, intensity 44; 2θ 30.21, intensity 11; 2θ 35.03, intensity 85; 2θ 39.32, intensity 45; 2θ 43.25, intensity 20; 2θ 50.37, intensity 54; 2θ 53.67, intensity 21; 2θ 62.83, intensity 17; 2θ 68.52, intensity 10; 2θ 76.69, intensity 11; 2θ 84.58, intensity 22

3.
Simulated powder diffractogram
Compound: LaCO
Radiation: CuKα
Structure: DFT lattice parameters and positions (PBE)

```
LaCO
1.0
7.091 0.000 0.000
0.000 4.011 0.000
-0.680 0.000 7.336
La C O
4 4 4
Direct
0.184 0.000 0.208
0.316 0.500 0.792
0.684 0.500 0.208
0.816 0.000 0.792
0.039 0.500 0.427
0.461 0.000 0.573
0.539 0.000 0.427
0.961 0.500 0.573
0.153 0.000 0.879
0.347 0.500 0.121
0.653 0.500 0.879
0.847 0.000 0.121
```

Most intense lines, 10° ≤ 2θ ≤ 90°, in order of rising 2θ:
2θ 12.06, intensity 25; 2θ 24.27, intensity 42; 2θ 25.23, intensity 24; 2θ 25.54, intensity 18; 2θ 27.82, intensity 100; 2θ 28.84, intensity 27; 2θ 29.06, intensity 36; 2θ 33.57, intensity 21; 2θ 36.35, intensity 27; 2θ 44.26, intensity 29; 2θ 44.64, intensity 32; 2θ 45.21, intensity 17

4.
Simulated powder diffractogram
Compound: SnH4S6N6Cl6
Radiation: CuKα
Structure: DFT lattice parameters and positions (PBE)

```
SnH4S6N6Cl6
1.0
7.364 0.000 0.000
0.000 13.290 0.000
-6.344 0.000 10.104
Sn H S N Cl
2 8 12 12 12
Direct
0.000 0.000 0.000
0.000 0.500 0.500
0.055 0.227 0.662
0.055 0.273 0.162
0.143 0.127 0.777
0.143 0.373 0.277
0.857 0.627 0.723
0.857 0.873 0.223
0.945 0.727 0.838
0.945 0.773 0.338
0.142 0.580 0.920
0.142 0.920 0.420
0.339 0.676 0.166
0.339 0.824 0.666
0.455 0.657 0.983
0.455 0.843 0.483
0.545 0.157 0.517
0.545 0.343 0.017
0.661 0.176 0.334
0.661 0.324 0.834
0.858 0.080 0.580
0.858 0.420 0.080
0.048 0.153 0.682
0.048 0.347 0.182
0.168 0.597 0.063
0.168 0.903 0.563
0.489 0.708 0.116
0.489 0.792 0.616
0.511 0.208 0.384
0.511 0.292 0.884
0.832 0.097 0.437
0.832 0.403 0.937
0.952 0.653 0.818
0.952 0.847 0.318
0.149 0.573 0.376
0.149 0.927 0.876
0.159 0.165 0.003
0.159 0.335 0.503
0.333 0.546 0.714
0.333 0.954 0.214
0.667 0.046 0.786
0.667 0.454 0.286
0.841 0.665 0.497
0.841 0.835 0.997
0.851 0.073 0.124
0.851 0.427 0.624
```

Most intense lines, 10° ≤ 2θ ≤ 90°, in order of rising 2θ:
2θ 11.00, intensity 30; 2θ 13.32, intensity 31; 2θ 13.80, intensity 100; 2θ 15.66, intensity 56; 2θ 17.56, intensity 40; 2θ 18.02, intensity 40; 2θ 19.52, intensity 55; 2θ 21.41, intensity 29; 2θ 21.91, intensity 48; 2θ 24.65, intensity 28; 2θ 29.50, intensity 28; 2θ 31.12, intensity 38

Repeat the third record exactly.
Simulated powder diffractogram
Compound: LaCO
Radiation: CuKα
Structure: DFT lattice parameters and positions (PBE)

```
LaCO
1.0
7.091 0.000 0.000
0.000 4.011 0.000
-0.680 0.000 7.336
La C O
4 4 4
Direct
0.184 0.000 0.208
0.316 0.500 0.792
0.684 0.500 0.208
0.816 0.000 0.792
0.039 0.500 0.427
0.461 0.000 0.573
0.539 0.000 0.427
0.961 0.500 0.573
0.153 0.000 0.879
0.347 0.500 0.121
0.653 0.500 0.879
0.847 0.000 0.121
```

Most intense lines, 10° ≤ 2θ ≤ 90°, in order of rising 2θ:
2θ 12.06, intensity 25; 2θ 24.27, intensity 42; 2θ 25.23, intensity 24; 2θ 25.54, intensity 18; 2θ 27.82, intensity 100; 2θ 28.84, intensity 27; 2θ 29.06, intensity 36; 2θ 33.57, intensity 21; 2θ 36.35, intensity 27; 2θ 44.26, intensity 29; 2θ 44.64, intensity 32; 2θ 45.21, intensity 17